For Y6Se5, a structure optimized by DFT (GGA-PBE) gives the simulated X-ray diffraction stick pattern in this record (a wavelength of 1.5418 Å).
Intensities are scaled so that the largest is 100.

Largest 10 diffraction maxima, low angle first, 2θ = 15–90°:
| two_theta | d/Å | I/Imax |
| --- | --- | --- |
| 31.21 | 2.866 | 50.7 |
| 31.33 | 2.855 | 100.0 |
| 44.82 | 2.022 | 90.6 |
| 44.97 | 2.016 | 17.9 |
| 55.75 | 1.649 | 28.0 |
| 65.38 | 1.427 | 11.3 |
| 74.13 | 1.279 | 15.7 |
| 74.34 | 1.276 | 15.4 |
| 82.60 | 1.168 | 14.7 |
| 82.80 | 1.166 | 11.6 |

Cell and atoms:
```
11
Lattice="3.5118 -6.0472 0.0000 3.5118 6.0472 0.0000 -2.3499 0.0000 6.5982" Properties=species:S:1:pos:R:3 pbc="T T T"
Y 1.1440 1.9998 1.6170
Y -0.0262 0.0000 4.9193
Y 1.1440 -1.9998 1.6170
Y 3.5296 1.9998 4.9812
Y 4.6998 0.0000 1.6789
Y 3.5296 -1.9998 4.9812
Se 2.3368 3.9726 3.2991
Se 3.5118 1.9888 0.0000
Se 2.3368 0.0000 3.2991
Se 3.5118 -1.9888 0.0000
Se 2.3368 -3.9726 3.2991
```